Starting from the PBE geometry in OQMD, the powder XRD pattern of NdTlCu3S4 was computed for CuKα.

Peak list (10 most intense, 10 to 80 degrees two-theta, in order of rising 2θ)
| (hkl) | 2θ/deg | I (rel.) |
| --- | --- | --- |
| 1 1 0 | 20.74 | 100.0 |
| 1 1 1 | 25.48 | 48.5 |
| 2 0 0 | 29.50 | 49.0 |
| 2 1 1 | 36.34 | 48.9 |
| 2 2 0 | 42.21 | 98.4 |
| 3 1 0 | 47.48 | 23.4 |
| 3 1 1 | 49.95 | 21.7 |
| 3 2 1 | 56.89 | 27.9 |
| 4 2 0 | 69.41 | 17.4 |
| 4 2 2 | 77.17 | 31.6 |

Atomic structure:
```
data_NdTlCu3S4
_chemical_formula_sum 'Nd1 Tl1 Cu3 S4'
_symmetry_space_group_name_H-M 'P -4 3 m'
_symmetry_Int_Tables_number 215
_symmetry_space_group_name_Hall 'P -4 2 3'
_cell_length_a 6.056
_cell_length_b 6.056
_cell_length_c 6.056
_cell_angle_alpha 90.00
_cell_angle_beta 90.00
_cell_angle_gamma 90.00
loop_
_atom_site_label
_atom_site_fract_x
_atom_site_fract_y
_atom_site_fract_z
_atom_site_occupancy
Nd1 0.000 0.000 0.000 1
Tl1 0.500 0.500 0.500 1
Cu1 0.000 0.000 0.500 1
S1 0.245 0.245 0.755 1
```

Starting from the PBE geometry in OQMD, the powder XRD pattern of Nd2CuSe3 was computed for CuKα.

Peak list (10 most intense, 10 to 80 degrees two-theta, in order of rising 2θ)
| (hkl) | 2θ/deg | I (rel.) |
| --- | --- | --- |
| 2 0 2 | 20.96 | 39.6 |
| 3 0 2 | 27.85 | 34.6 |
| 0 1 3 | 29.97 | 31.3 |
| 1 1 3 | 31.09 | 100.0 |
| 4 0 0 | 32.77 | 26.8 |
| 3 1 1 | 33.95 | 28.3 |
| 2 1 3 | 34.26 | 92.5 |
| 2 0 6 | 43.72 | 31.9 |
| 2 1 5 | 43.87 | 28.2 |
| 0 2 0 | 45.36 | 43.3 |

Atomic structure:
```
data_Nd2CuSe3
_chemical_formula_sum 'Nd8 Cu4 Se12'
_symmetry_space_group_name_H-M 'P n m a'
_symmetry_Int_Tables_number 62
_symmetry_space_group_name_Hall '-P 2ac 2n'
_cell_length_a 10.932
_cell_length_b 3.999
_cell_length_c 13.422
_cell_angle_alpha 90.00
_cell_angle_beta 90.00
_cell_angle_gamma 90.00
loop_
_atom_site_label
_atom_site_fract_x
_atom_site_fract_y
_atom_site_fract_z
_atom_site_occupancy
Nd1 0.020 0.250 0.239 1
Nd2 0.212 0.750 0.508 1
Cu1 0.231 0.250 0.724 1
Se1 0.049 0.250 0.608 1
Se2 0.112 0.750 0.094 1
Se3 0.235 0.750 0.837 1
```